The following is a theoretical XRD peak list of NdCu6Ge4. It was derived from DFT lattice parameters and positions (PBE), using a wavelength of 1.5418 Å.
Lines closer than 0.1° are merged.

Principal peaks in the range 2θ from 15° to 90°, most intense first:
2θ/deg, d [Å], I (rel.)
37.06, 2.426, 100
33.87, 2.647, 46
39.30, 2.293, 44
44.84, 2.021, 40
45.48, 1.994, 37
61.12, 1.516, 26
52.24, 1.751, 26
50.47, 1.808, 23
71.25, 1.323, 21
59.51, 1.553, 17

a = 7.0044 Å, b = 7.0044 Å, c = 4.0422 Å
α = 90.00°, β = 90.00°, γ = 120.00°
Fractional positions:
Nd 0.0000 0.0000 0.0000
Cu 0.2088 0.4176 0.5000
Cu 0.2088 0.7912 0.5000
Cu 0.5401 0.0802 0.0000
Cu 0.5401 0.4599 0.0000
Cu 0.5824 0.7912 0.5000
Cu 0.9198 0.4599 0.0000
Ge 0.3333 0.6667 0.0000
Ge 0.3885 0.1942 0.5000
Ge 0.8058 0.1942 0.5000
Ge 0.8058 0.6115 0.5000